No. 1
# ZnAu3
Calculated powder X-ray diffraction pattern, Cu Kα (λ = 1.5418 Å). Input: a cell relaxed with PBE.

Largest 10 diffraction maxima, low angle first, 10 to 90 degrees two-theta:
Position (°2θ)	d [Å]	I_rel
27.1	3.285	6
34.5	2.597	10
38.0	2.368	100
42.7	2.120	21
44.9	2.018	27
50.9	1.795	7
63.7	1.462	19
75.0	1.266	12
78.2	1.222	16
81.3	1.184	6

Cell and atoms:
```
32
Lattice="-2.854 2.854 16.959 2.854 -2.854 16.959 2.854 2.854 -16.959" Properties=species:S:1:pos:R:3 pbc="T T T"
Zn 2.854 1.427 -6.542
Zn 2.854 1.427 -1.937
Zn 0.000 1.427 1.937
Zn 0.000 1.427 6.542
Zn 2.854 1.427 10.416
Zn 2.854 1.427 15.022
Zn 0.000 1.427 18.896
Zn 0.000 1.427 23.501
Au 4.281 0.006 0.000
Au 3.909 -0.372 4.240
Au 2.854 -1.427 10.695
Au 2.854 -1.427 14.743
Au 1.055 0.372 4.240
Au 1.433 2.854 -8.479
Au 1.433 0.000 8.479
Au 1.055 -0.372 12.719
Au 2.854 1.427 2.216
Au 2.854 1.427 6.263
Au 1.055 3.226 -4.240
Au 1.427 2.848 0.000
Au 1.427 0.006 16.959
Au 1.799 -0.372 21.198
Au 0.000 1.427 10.695
Au 0.000 1.427 14.743
Au 1.799 3.226 4.240
Au 1.421 2.854 8.479
Au 1.421 0.000 25.438
Au 1.799 2.482 12.719
Au 0.000 4.281 2.216
Au 0.000 4.281 6.263
Au -1.055 3.226 12.719
Au -1.427 2.848 16.959
```


No. 2
# ZnAu3
Calculated powder X-ray diffraction pattern, Cu Kα (λ = 1.5418 Å). Input: a cell relaxed with PBE.

Largest 10 diffraction maxima, low angle first, 10 to 90 degrees two-theta:
Position (°2θ)	d [Å]	I_rel
34.7	2.584	26
35.4	2.532	13
37.8	2.383	100
38.2	2.358	96
43.3	2.090	41
44.5	2.035	61
63.8	1.458	35
75.7	1.256	20
77.2	1.235	14
78.0	1.225	14

Cell and atoms:
```
16
Lattice="8.362 -2.900 0.000 8.362 2.900 0.000 0.000 0.000 5.711" Properties=species:S:1:pos:R:3 pbc="T T T"
Zn 2.277 0.000 0.000
Zn 6.084 0.000 2.856
Zn 10.639 0.000 2.856
Zn 14.446 0.000 0.000
Au 4.181 1.438 4.283
Au 1.993 0.000 2.856
Au 8.362 1.840 4.675
Au 8.362 1.059 1.819
Au 6.368 0.000 0.000
Au 4.181 -1.438 1.428
Au 12.542 1.438 4.283
Au 10.355 0.000 0.000
Au 8.362 -1.059 3.892
Au 8.362 -1.840 1.036
Au 14.730 0.000 2.856
Au 12.542 -1.438 1.428
```


No. 3
# Zn3Au
Calculated powder X-ray diffraction pattern, Cu Kα (λ = 1.5418 Å). Input: a cell relaxed with PBE.

Largest 10 diffraction maxima, low angle first, 10 to 90 degrees two-theta:
Position (°2θ)	d [Å]	I_rel
27.3	3.263	29
30.7	2.908	14
35.7	2.518	26
41.6	2.171	100
42.2	2.142	21
56.4	1.631	13
64.0	1.454	18
76.7	1.242	16
79.3	1.208	15
79.7	1.203	19

Cell and atoms:
```
8
Lattice="5.816 0.000 0.000 -2.908 5.037 0.000 0.000 0.000 4.283" Properties=species:S:1:pos:R:3 pbc="T T T"
Zn 0.000 1.661 1.071
Zn -1.470 4.206 1.071
Zn 1.438 0.830 3.212
Zn 1.470 4.206 1.071
Zn 4.378 0.830 3.212
Zn 2.908 3.376 3.212
Au 0.000 3.358 3.212
Au 2.908 1.679 1.071
```